Entry 1:
# Rb3CrF7
Theoretical powder diffractogram, copper Kα. Input: a DFT-relaxed cell (GGA+U, the Materials Project).
Intensities are scaled so that the largest is 100.

Top 8 peaks for 10 to 90 degrees two-theta, by angle:
two_theta, I_rel, (hkl)
24.20, 17, 2 1 0
26.21, 100, 2 0 1
28.41, 21, 2 1 1
29.56, 30, 0 0 2
30.75, 43, 2 2 0
34.48, 22, 3 1 0
38.56, 43, 2 1 2
43.17, 31, 2 2 2

Structural model:
abc: 8.2246 8.2246 6.0444
angles: 90.00 90.00 90.00
Space group P4/mbm (No. 127)
Unique sites:
Rb1 0.0000 0.0000 0.0000
Rb2 0.1919 0.3081 0.5000
Cr1 0.0000 0.5000 0.0000
F1 0.0000 0.0000 0.5000
F2 0.1114 0.6114 0.2233
F3 0.1591 0.3409 0.0000

Entry 2:
# Li3MnV4O12
Theoretical powder diffractogram, copper Kα. Input: a DFT-relaxed cell (GGA+U, the Materials Project).
Intensities are scaled so that the largest is 100.

Top 8 peaks for 10 to 90 degrees two-theta, by angle:
two_theta, I_rel, (hkl)
18.27, 28, 0 1 1
18.94, 31, 0 1 -1
25.01, 33, 1 1 -1
25.21, 33, 1 -1 1
27.32, 100, 1 2 0
29.09, 30, 0 1 2
29.28, 27, 0 2 1
33.02, 34, 2 0 0

Structural model:
abc: 5.8410 6.9919 7.0469
angles: 83.73 74.24 73.76
Space group P1 (No. 1)
Unique sites:
Li1 0.0000 0.0000 0.0000
Li2 0.0463 0.3236 0.6517
Li3 0.4856 0.4708 0.5495
Mn1 0.5342 0.1254 0.8517
V1 0.0063 0.4197 0.1602
V2 0.0559 0.8254 0.5615
V3 0.5040 0.6064 0.9712
V4 0.5515 0.0280 0.3754
O1 0.1161 0.5887 0.6611
O2 0.1339 0.2332 0.9946
O3 0.2220 0.5683 0.1305
O4 0.3445 0.8536 0.4177
O5 0.4372 0.1977 0.5698
O6 0.4375 0.8422 0.8783
O7 0.6128 0.4348 0.7913
O8 0.6287 0.1060 0.1278
O9 0.7207 0.5756 0.1173
O10 0.8463 0.8525 0.4147
O11 0.9277 0.0009 0.7441
O12 0.9475 0.3266 0.3912

Entry 3:
# W3Se2ClO8
Theoretical powder diffractogram, copper Kα. Input: a DFT-relaxed cell (GGA+U, the Materials Project).
Intensities are scaled so that the largest is 100.

Top 8 peaks for 10 to 90 degrees two-theta, by angle:
two_theta, I_rel, (hkl)
10.31, 100, 0 0 1
12.81, 46, 0 1 1
15.18, 56, 0 2 0
18.44, 82, 1 0 1
25.78, 59, 0 2 2
30.63, 34, 0 4 0
34.95, 41, 0 2 3
36.14, 52, 2 2 -1

Structural model:
abc: 5.7984 11.6760 8.5763
angles: 90.00 90.05 90.00
Space group Pm (No. 6)
Unique sites:
W1 0.0000 0.0000 0.0000
W2 0.2523 0.2506 0.7833
W3 0.4782 0.5000 0.5603
W4 0.7532 0.2517 0.7837
Se1 0.0041 0.2785 0.1394
Se2 0.5035 0.2192 0.4284
Cl1 0.0415 0.5000 0.5583
Cl2 0.5061 0.0000 0.9786
O1 0.0035 0.1328 0.1718
O2 0.0052 0.1323 0.8277
O3 0.2387 0.2993 0.0149
O4 0.2685 0.2013 0.5530
O5 0.4986 0.3692 0.7376
O6 0.5031 0.3636 0.3914
O7 0.7390 0.2023 0.5533
O8 0.7688 0.2993 0.0152

Entry 4:
# BaCaPrFeO6
Theoretical powder diffractogram, copper Kα. Input: a DFT-relaxed cell (GGA+U, the Materials Project).
Intensities are scaled so that the largest is 100.

Top 8 peaks for 10 to 90 degrees two-theta, by angle:
two_theta, I_rel, (hkl)
18.36, 22, 1 1 1
30.20, 100, 2 2 0
35.57, 17, 3 1 1
43.24, 33, 4 0 0
53.64, 38, 4 2 2
62.80, 20, 4 4 0
71.26, 18, 6 2 0
87.14, 21, 6 4 2

Structural model:
abc: 8.3700 8.3700 8.3700
angles: 90.00 90.00 90.00
Space group F-43m (No. 216)
Unique sites:
Ba1 0.0000 0.0000 0.0000
Ca1 0.0000 0.0000 0.5000
Pr1 0.2500 0.2500 0.2500
Fe1 0.2500 0.2500 0.7500
O1 0.0242 0.2500 0.7500

Entry 5:
# YCu3Mo4O12
Theoretical powder diffractogram, copper Kα. Input: a DFT-relaxed cell (GGA+U, the Materials Project).
Intensities are scaled so that the largest is 100.

Top 8 peaks for 10 to 90 degrees two-theta, by angle:
two_theta, I_rel, (hkl)
23.07, 4, 1 -1 1
32.86, 100, 2 0 0
47.16, 24, 2 -2 2
58.67, 43, 2 0 -4
58.71, 4, 4 -2 0
68.90, 12, 0 0 4
78.42, 8, -4 4 2
78.51, 8, 4 2 -4

Structural model:
abc: 6.6722 6.6762 6.6769
angles: 109.41 109.49 109.48
Space group P-1 (No. 2)
Unique sites:
Y1 0.0000 0.0000 0.0000
Cu1 0.0000 0.5000 0.5000
Cu2 0.5000 0.0000 0.5000
Cu3 0.5000 0.5000 0.0000
Mo1 0.0000 0.0000 0.5000
Mo2 0.0000 0.5000 0.0000
Mo3 0.5000 0.0000 0.0000
Mo4 0.5000 0.5000 0.5000
O1 0.1330 0.8346 0.2968
O2 0.1637 0.2956 0.4709
O3 0.1644 0.7028 0.8658
O4 0.2951 0.4691 0.1623
O5 0.2979 0.1334 0.8348
O6 0.4678 0.1631 0.2945

Entry 6:
# WXeOF6
Theoretical powder diffractogram, copper Kα. Input: a DFT-relaxed cell (GGA+U, the Materials Project).
Intensities are scaled so that the largest is 100.

Top 8 peaks for 10 to 90 degrees two-theta, by angle:
two_theta, I_rel, (hkl)
19.53, 34, 1 1 1
20.81, 62, 1 0 -2
21.56, 29, 1 0 2
22.09, 100, 0 2 2
23.34, 71, 1 2 0
28.20, 36, 0 0 4
36.45, 27, 1 2 -4
40.57, 24, 1 4 -2

Structural model:
abc: 5.5968 10.4167 12.6808
angles: 90.00 92.01 90.00
Space group P2_1/c (No. 14)
Unique sites:
W1 0.1076 0.0067 0.2706
Xe1 0.4829 0.7479 0.9786
O1 0.0248 0.5822 0.3373
F1 0.0104 0.1189 0.3798
F2 0.1426 0.1074 0.6938
F3 0.2605 0.6327 0.7034
F4 0.2811 0.5851 0.9164
F5 0.3222 0.1052 0.9600
F6 0.4071 0.0944 0.2737

Entry 7:
# Li9Mn12Cu3O32
Theoretical powder diffractogram, copper Kα. Input: a DFT-relaxed cell (GGA+U, the Materials Project).
Intensities are scaled so that the largest is 100.

Top 8 peaks for 10 to 90 degrees two-theta, by angle:
two_theta, I_rel, (hkl)
15.11, 39, 0 1 2
18.54, 75, 0 2 1
24.01, 53, 1 1 3
35.90, 100, 2 2 3
43.67, 62, 4 0 4
57.75, 39, 6 0 3
63.34, 35, 4 4 0
63.62, 36, 0 4 8

Structural model:
abc: 11.7473 11.7473 14.3029
angles: 90.00 90.00 120.00
Space group R3 (No. 146, hexagonal axes)
Unique sites:
Li1 0.0000 0.0000 0.0000
Li2 0.0000 0.0000 0.2422
Li3 0.0000 0.0000 0.6214
Li4 0.9999 0.4986 0.9939
Li5 0.0033 0.2511 0.1202
Mn1 0.0027 0.7517 0.1201
Mn2 0.0814 0.9165 0.7866
Mn3 0.1663 0.8292 0.9541
Mn4 0.1699 0.0873 0.4515
Cu1 0.0057 0.4921 0.2471
O1 0.0000 0.0000 0.3833
O2 0.0000 0.0000 0.8597
O3 0.0124 0.5159 0.3802
O4 0.0142 0.7564 0.8657
O5 0.0170 0.2459 0.8753
O6 0.0716 0.1548 0.5244
O7 0.0809 0.8921 0.0370
O8 0.0927 0.6829 0.0402
O9 0.1061 0.4195 0.0345
O10 0.1554 0.0758 0.7190
O11 0.1582 0.8158 0.1902
O12 0.1852 0.1062 0.2018

Entry 8:
# Li5Fe8B8O24
Theoretical powder diffractogram, copper Kα. Input: a DFT-relaxed cell (GGA+U, the Materials Project).
Intensities are scaled so that the largest is 100.

Top 8 peaks for 10 to 90 degrees two-theta, by angle:
two_theta, I_rel, (hkl)
19.59, 81, 0 2 0
21.44, 65, 1 -1 1
21.60, 31, 0 2 1
21.72, 41, 1 1 1
25.99, 63, 1 1 -2
34.04, 67, 1 -3 0
34.35, 32, 1 3 0
35.54, 100, 0 0 4

Structural model:
abc: 5.2756 9.0611 10.1085
angles: 90.74 91.70 90.50
Space group P1 (No. 1)
Unique sites:
Li1 0.0000 0.0000 0.0000
Li2 0.0050 0.9949 0.5201
Li3 0.1867 0.4833 0.2704
Li4 0.5024 0.4932 0.0078
Li5 0.6846 0.9889 0.2681
Fe1 0.0069 0.6526 0.0372
Fe2 0.0204 0.3418 0.5450
Fe3 0.1882 0.1550 0.2936
Fe4 0.1899 0.8256 0.7875
Fe5 0.5072 0.1562 0.0379
Fe6 0.5074 0.8314 0.5468
Fe7 0.6812 0.6558 0.2947
Fe8 0.6847 0.3271 0.7792
B1 0.0107 0.3240 0.0440
B2 0.0122 0.6682 0.5385
B3 0.1723 0.8205 0.2930
B4 0.1826 0.1628 0.7937
B5 0.5124 0.8255 0.0478
B6 0.5130 0.1584 0.5411
B7 0.6811 0.6605 0.7962
B8 0.6900 0.3274 0.2895
O1 0.0395 0.2832 0.7577
O2 0.0418 0.9491 0.3065
O3 0.0463 0.6889 0.2553
O4 0.0745 0.0238 0.8019
O5 0.1225 0.1888 0.0745
O6 0.1216 0.8037 0.5882
O7 0.1459 0.5443 0.5366
O8 0.1509 0.4530 0.0625
O9 0.2535 0.1591 0.5093
O10 0.2609 0.8279 0.0000
O11 0.4336 0.8167 0.3192
O12 0.4367 0.1817 0.8302
O13 0.5399 0.7809 0.7552
O14 0.5552 0.4590 0.2812
O15 0.5645 0.1961 0.2563
O16 0.5732 0.5245 0.8100
O17 0.6202 0.6898 0.0851
O18 0.6346 0.2886 0.5855
O19 0.6504 0.0312 0.5258
O20 0.6544 0.9530 0.0620
O21 0.7585 0.3284 0.9989
O22 0.7636 0.6790 0.4862
O23 0.9352 0.6827 0.8331
O24 0.9448 0.3301 0.3261

Entry 9:
# Ca2TbNiO6
Theoretical powder diffractogram, copper Kα. Input: a DFT-relaxed cell (GGA+U, the Materials Project).
Intensities are scaled so that the largest is 100.

Top 8 peaks for 10 to 90 degrees two-theta, by angle:
two_theta, I_rel, (hkl)
19.19, 17, 1 1 1
22.19, 48, 2 0 0
31.58, 100, 2 2 0
45.27, 37, 4 0 0
50.97, 19, 4 2 0
56.25, 37, 4 2 2
65.95, 21, 4 4 0
74.97, 17, 6 2 0

Structural model:
abc: 8.0122 8.0122 8.0122
angles: 90.00 90.00 90.00
Space group Fm-3m (No. 225)
Unique sites:
Ca1 0.2500 0.2500 0.2500
Tb1 0.0000 0.0000 0.0000
Ni1 0.0000 0.0000 0.5000
O1 0.0000 0.0000 0.2709